[1]
Starting from a cell relaxed with GGA+U, the powder diffraction line list of Hg2Mo2O7 was computed for Cu Kα, 1.54184 Å.
Neutral-atom scattering factors, no anomalous dispersion.

Atomic structure:
Lattice parameters (Å, degrees): 7.206 7.336 8.369 64.73 67.20 66.22
Fractional positions:
1 Hg 0.125 0.324 0.380
2 Hg 0.318 0.173 0.633
3 Hg 0.682 0.827 0.367
4 Hg 0.875 0.676 0.620
5 Mo 0.196 0.623 0.881
6 Mo 0.314 0.872 0.132
7 Mo 0.686 0.128 0.868
8 Mo 0.804 0.377 0.119
9 O 0.033 0.499 0.838
10 O 0.097 0.096 0.162
11 O 0.204 0.788 0.007
12 O 0.271 0.685 0.348
13 O 0.322 0.745 0.658
14 O 0.397 0.391 0.949
15 O 0.468 0.046 0.850
16 O 0.532 0.954 0.150
17 O 0.603 0.609 0.051
18 O 0.678 0.255 0.342
19 O 0.729 0.315 0.652
20 O 0.796 0.212 0.993
21 O 0.903 0.904 0.838
22 O 0.967 0.501 0.162

The 8 most intense peaks (10 to 80 degrees two-theta), in order of rising 2θ:
| two_theta | I (rel.) |
| --- | --- |
| 16.66 | 45 |
| 25.07 | 100 |
| 26.75 | 57 |
| 28.04 | 23 |
| 29.63 | 20 |
| 32.13 | 50 |
| 32.68 | 22 |
| 51.50 | 23 |



[2]
Starting from a cell relaxed with GGA+U, the powder diffraction line list of UHgMo4O16 was computed for Cu Kα, 1.54184 Å.
Neutral-atom scattering factors, no anomalous dispersion.

Atomic structure:
Lattice parameters (Å, degrees): 8.439 6.727 14.322 90.00 125.54 90.00
Fractional positions:
1 U 0.000 0.197 0.250
2 U 0.000 0.803 0.750
3 Hg 0.500 0.194 0.250
4 Hg 0.500 0.806 0.750
5 Mo 0.203 0.334 0.907
6 Mo 0.203 0.666 0.407
7 Mo 0.300 0.331 0.596
8 Mo 0.300 0.669 0.096
9 Mo 0.700 0.331 0.904
10 Mo 0.700 0.669 0.404
11 Mo 0.797 0.334 0.593
12 Mo 0.797 0.666 0.093
13 O 0.000 0.441 0.750
14 O 0.000 0.559 0.250
15 O 0.094 0.347 0.597
16 O 0.094 0.653 0.097
17 O 0.128 0.078 0.871
18 O 0.128 0.922 0.371
19 O 0.185 0.350 0.433
20 O 0.185 0.650 0.933
21 O 0.214 0.201 0.247
22 O 0.214 0.799 0.747
23 O 0.314 0.354 0.063
24 O 0.314 0.646 0.563
25 O 0.363 0.079 0.623
26 O 0.363 0.921 0.123
27 O 0.405 0.343 0.903
28 O 0.405 0.657 0.403
29 O 0.500 0.434 0.750
30 O 0.500 0.566 0.250
31 O 0.595 0.343 0.597
32 O 0.595 0.657 0.097
33 O 0.637 0.079 0.877
34 O 0.637 0.921 0.377
35 O 0.686 0.354 0.437
36 O 0.686 0.646 0.937
37 O 0.786 0.201 0.253
38 O 0.786 0.799 0.753
39 O 0.815 0.350 0.067
40 O 0.815 0.650 0.567
41 O 0.872 0.078 0.629
42 O 0.872 0.922 0.129
43 O 0.906 0.347 0.903
44 O 0.906 0.653 0.403

The 8 most intense peaks (10 to 80 degrees two-theta), in order of rising 2θ:
| two_theta | I (rel.) |
| --- | --- |
| 15.21 | 34 |
| 21.06 | 79 |
| 26.01 | 21 |
| 26.19 | 17 |
| 26.50 | 100 |
| 27.60 | 26 |
| 33.94 | 25 |
| 34.23 | 18 |



[3]
Starting from a cell relaxed with GGA+U, the powder diffraction line list of NiHgO2 was computed for Cu Kα, 1.54184 Å.
Neutral-atom scattering factors, no anomalous dispersion.

Atomic structure:
Lattice parameters (Å, degrees): 6.343 3.211 5.558 90.00 106.97 90.00
Fractional positions:
1 Ni 0.000 0.249 0.250
2 Ni 0.000 0.751 0.750
3 Hg 0.500 0.250 0.750
4 Hg 0.500 0.750 0.250
5 O 0.167 0.250 0.639
6 O 0.167 0.750 0.139
7 O 0.833 0.250 0.861
8 O 0.833 0.750 0.361

The 8 most intense peaks (10 to 80 degrees two-theta), in order of rising 2θ:
| two_theta | I (rel.) |
| --- | --- |
| 14.60 | 41 |
| 29.44 | 40 |
| 32.58 | 38 |
| 33.71 | 100 |
| 37.93 | 55 |
| 51.93 | 33 |
| 57.41 | 25 |
| 65.83 | 25 |



[4]
Starting from a cell relaxed with GGA+U, the powder diffraction line list of V2HgP4O14 was computed for Cu Kα, 1.54184 Å.
Neutral-atom scattering factors, no anomalous dispersion.

Atomic structure:
Lattice parameters (Å, degrees): 4.952 6.973 8.289 92.89 94.02 105.11
Fractional positions:
1 V 0.000 0.000 0.000
2 V 0.500 0.500 0.500
3 Hg 0.000 0.000 0.500
4 P 0.013 0.637 0.257
5 P 0.382 0.760 0.805
6 P 0.618 0.240 0.195
7 P 0.987 0.363 0.743
8 O 0.111 0.808 0.155
9 O 0.151 0.300 0.598
10 O 0.173 0.888 0.809
11 O 0.220 0.534 0.847
12 O 0.245 0.550 0.323
13 O 0.374 0.186 0.067
14 O 0.466 0.742 0.629
15 O 0.534 0.258 0.371
16 O 0.626 0.814 0.933
17 O 0.755 0.450 0.677
18 O 0.780 0.466 0.153
19 O 0.827 0.112 0.191
20 O 0.849 0.700 0.402
21 O 0.889 0.192 0.845

The 8 most intense peaks (10 to 80 degrees two-theta), in order of rising 2θ:
| two_theta | I (rel.) |
| --- | --- |
| 10.73 | 100 |
| 18.63 | 63 |
| 22.88 | 98 |
| 24.51 | 64 |
| 25.64 | 59 |
| 26.83 | 55 |
| 28.91 | 93 |
| 29.91 | 64 |



[5]
Starting from a cell relaxed with GGA+U, the powder diffraction line list of V2HgO6 was computed for Cu Kα, 1.54184 Å.
Neutral-atom scattering factors, no anomalous dispersion.

Atomic structure:
Lattice parameters (Å, degrees): 4.997 14.610 6.112 90.00 90.00 90.00
Fractional positions:
1 V 0.033 0.171 0.064
2 V 0.033 0.329 0.564
3 V 0.467 0.671 0.064
4 V 0.467 0.829 0.564
5 V 0.533 0.171 0.436
6 V 0.533 0.329 0.936
7 V 0.967 0.671 0.436
8 V 0.967 0.829 0.936
9 Hg 0.000 0.000 0.500
10 Hg 0.000 0.500 0.000
11 Hg 0.500 0.000 0.000
12 Hg 0.500 0.500 0.500
13 O 0.062 0.596 0.621
14 O 0.062 0.904 0.121
15 O 0.162 0.609 0.178
16 O 0.162 0.891 0.678
17 O 0.227 0.248 0.405
18 O 0.227 0.252 0.905
19 O 0.273 0.748 0.405
20 O 0.273 0.752 0.905
21 O 0.338 0.109 0.178
22 O 0.338 0.391 0.678
23 O 0.438 0.096 0.621
24 O 0.438 0.404 0.121
25 O 0.562 0.596 0.879
26 O 0.562 0.904 0.379
27 O 0.662 0.609 0.322
28 O 0.662 0.891 0.822
29 O 0.727 0.248 0.095
30 O 0.727 0.252 0.595
31 O 0.773 0.748 0.095
32 O 0.773 0.752 0.595
33 O 0.838 0.109 0.322
34 O 0.838 0.391 0.822
35 O 0.938 0.096 0.879
36 O 0.938 0.404 0.379

The 8 most intense peaks (10 to 80 degrees two-theta), in order of rising 2θ:
| two_theta | I (rel.) |
| --- | --- |
| 12.12 | 33 |
| 23.79 | 39 |
| 29.22 | 21 |
| 29.49 | 100 |
| 38.61 | 15 |
| 48.68 | 20 |
| 51.98 | 14 |
| 62.01 | 14 |



[6]
Starting from a cell relaxed with GGA+U, the powder diffraction line list of VHg2O4 was computed for Cu Kα, 1.54184 Å.
Neutral-atom scattering factors, no anomalous dispersion.

Atomic structure:
Lattice parameters (Å, degrees): 3.739 16.875 15.177 90.00 104.17 90.00
Fractional positions:
1 V 0.121 0.179 0.119
2 V 0.121 0.321 0.619
3 V 0.369 0.672 0.871
4 V 0.369 0.828 0.371
5 V 0.631 0.172 0.629
6 V 0.631 0.328 0.129
7 V 0.879 0.679 0.381
8 V 0.879 0.821 0.881
9 Hg 0.000 0.000 0.500
10 Hg 0.000 0.500 0.000
11 Hg 0.250 0.506 0.250
12 Hg 0.250 0.994 0.750
13 Hg 0.377 0.179 0.874
14 Hg 0.377 0.321 0.374
15 Hg 0.496 0.168 0.376
16 Hg 0.496 0.332 0.876
17 Hg 0.500 0.000 0.000
18 Hg 0.500 0.500 0.500
19 Hg 0.504 0.668 0.124
20 Hg 0.504 0.832 0.624
21 Hg 0.623 0.679 0.626
22 Hg 0.623 0.821 0.126
23 Hg 0.750 0.006 0.250
24 Hg 0.750 0.494 0.750
25 O 0.023 0.128 0.021
26 O 0.023 0.372 0.521
27 O 0.125 0.203 0.624
28 O 0.125 0.297 0.124
29 O 0.128 0.565 0.125
30 O 0.128 0.935 0.625
31 O 0.213 0.114 0.208
32 O 0.213 0.386 0.708
33 O 0.274 0.623 0.772
34 O 0.274 0.877 0.272
35 O 0.312 0.051 0.874
36 O 0.312 0.449 0.374
37 O 0.374 0.710 0.376
38 O 0.374 0.790 0.876
39 O 0.455 0.607 0.959
40 O 0.455 0.893 0.459
41 O 0.545 0.107 0.541
42 O 0.545 0.393 0.041
43 O 0.626 0.210 0.124
44 O 0.626 0.290 0.624
45 O 0.688 0.551 0.626
46 O 0.688 0.949 0.126
47 O 0.726 0.123 0.728
48 O 0.726 0.377 0.228
49 O 0.787 0.614 0.292
50 O 0.787 0.886 0.792
51 O 0.872 0.065 0.375
52 O 0.872 0.435 0.875
53 O 0.875 0.703 0.876
54 O 0.875 0.797 0.376
55 O 0.977 0.628 0.479
56 O 0.977 0.872 0.979

The 8 most intense peaks (10 to 80 degrees two-theta), in order of rising 2θ:
| two_theta | I (rel.) |
| --- | --- |
| 13.13 | 46 |
| 24.38 | 32 |
| 26.43 | 100 |
| 28.67 | 39 |
| 31.82 | 46 |
| 32.29 | 31 |
| 34.62 | 27 |
| 49.83 | 27 |



[7]
Starting from a cell relaxed with GGA+U, the powder diffraction line list of V4HgO10 was computed for Cu Kα, 1.54184 Å.
Neutral-atom scattering factors, no anomalous dispersion.

Atomic structure:
Lattice parameters (Å, degrees): 11.634 11.634 9.820 92.23 92.23 18.21
Fractional positions:
1 V 0.105 0.105 0.442
2 V 0.242 0.242 0.267
3 V 0.312 0.312 0.966
4 V 0.377 0.377 0.303
5 V 0.623 0.623 0.697
6 V 0.688 0.688 0.034
7 V 0.758 0.758 0.733
8 V 0.895 0.895 0.558
9 Hg 0.018 0.018 0.127
10 Hg 0.982 0.982 0.873
11 O 0.043 0.043 0.341
12 O 0.126 0.126 0.645
13 O 0.162 0.162 0.339
14 O 0.210 0.210 0.040
15 O 0.271 0.271 0.783
16 O 0.282 0.282 0.409
17 O 0.319 0.319 0.167
18 O 0.381 0.381 0.930
19 O 0.400 0.400 0.501
20 O 0.437 0.437 0.216
21 O 0.563 0.563 0.784
22 O 0.600 0.600 0.499
23 O 0.619 0.619 0.070
24 O 0.681 0.681 0.833
25 O 0.718 0.718 0.591
26 O 0.729 0.729 0.217
27 O 0.790 0.790 0.960
28 O 0.838 0.838 0.661
29 O 0.874 0.874 0.355
30 O 0.957 0.957 0.659

The 8 most intense peaks (10 to 80 degrees two-theta), in order of rising 2θ:
| two_theta | I (rel.) |
| --- | --- |
| 17.59 | 99 |
| 24.49 | 49 |
| 24.64 | 100 |
| 26.09 | 55 |
| 26.87 | 89 |
| 28.25 | 78 |
| 28.67 | 61 |
| 32.26 | 47 |



[8]
Starting from a cell relaxed with GGA+U, the powder diffraction line list of HgWO4 was computed for Cu Kα, 1.54184 Å.
Neutral-atom scattering factors, no anomalous dispersion.

Atomic structure:
Lattice parameters (Å, degrees): 8.540 8.540 5.306 90.00 90.00 128.12
Fractional positions:
1 Hg 0.071 0.429 0.250
2 Hg 0.429 0.071 0.750
3 Hg 0.571 0.929 0.250
4 Hg 0.929 0.571 0.750
5 W 0.082 0.918 0.305
6 W 0.418 0.582 0.805
7 W 0.582 0.418 0.195
8 W 0.918 0.082 0.695
9 O 0.081 0.919 0.964
10 O 0.112 0.388 0.750
11 O 0.154 0.154 0.500
12 O 0.185 0.815 0.535
13 O 0.315 0.685 0.035
14 O 0.346 0.346 0.000
15 O 0.388 0.112 0.250
16 O 0.419 0.581 0.464
17 O 0.581 0.419 0.536
18 O 0.612 0.888 0.750
19 O 0.654 0.654 0.000
20 O 0.685 0.315 0.965
21 O 0.815 0.185 0.465
22 O 0.846 0.846 0.500
23 O 0.888 0.612 0.250
24 O 0.919 0.081 0.036

The 8 most intense peaks (10 to 80 degrees two-theta), in order of rising 2θ:
| two_theta | I (rel.) |
| --- | --- |
| 26.54 | 44 |
| 28.70 | 94 |
| 31.52 | 100 |
| 33.79 | 26 |
| 42.83 | 40 |
| 43.47 | 23 |
| 55.63 | 26 |
| 57.56 | 28 |



[9]
Starting from a cell relaxed with GGA+U, the powder diffraction line list of HgWO4 was computed for Cu Kα, 1.54184 Å.
Neutral-atom scattering factors, no anomalous dispersion.

Atomic structure:
Lattice parameters (Å, degrees): 6.585 6.585 5.274 110.78 110.78 56.34
Fractional positions:
1 Hg 0.000 0.500 0.000
2 Hg 0.500 0.000 0.500
3 W 0.181 0.819 0.750
4 W 0.819 0.181 0.250
5 O 0.003 0.188 0.027
6 O 0.188 0.003 0.527
7 O 0.242 0.524 0.524
8 O 0.476 0.758 0.976
9 O 0.524 0.242 0.024
10 O 0.758 0.476 0.476
11 O 0.812 0.997 0.473
12 O 0.997 0.812 0.973

The 8 most intense peaks (10 to 80 degrees two-theta), in order of rising 2θ:
| two_theta | I (rel.) |
| --- | --- |
| 27.24 | 100 |
| 28.42 | 91 |
| 28.72 | 32 |
| 33.73 | 23 |
| 34.05 | 29 |
| 44.88 | 21 |
| 45.13 | 22 |
| 56.22 | 23 |



Repeat the fourth record exactly.
Starting from a cell relaxed with GGA+U, the powder diffraction line list of V2HgP4O14 was computed for Cu Kα, 1.54184 Å.
Neutral-atom scattering factors, no anomalous dispersion.

Atomic structure:
Lattice parameters (Å, degrees): 4.952 6.973 8.289 92.89 94.02 105.11
Fractional positions:
1 V 0.000 0.000 0.000
2 V 0.500 0.500 0.500
3 Hg 0.000 0.000 0.500
4 P 0.013 0.637 0.257
5 P 0.382 0.760 0.805
6 P 0.618 0.240 0.195
7 P 0.987 0.363 0.743
8 O 0.111 0.808 0.155
9 O 0.151 0.300 0.598
10 O 0.173 0.888 0.809
11 O 0.220 0.534 0.847
12 O 0.245 0.550 0.323
13 O 0.374 0.186 0.067
14 O 0.466 0.742 0.629
15 O 0.534 0.258 0.371
16 O 0.626 0.814 0.933
17 O 0.755 0.450 0.677
18 O 0.780 0.466 0.153
19 O 0.827 0.112 0.191
20 O 0.849 0.700 0.402
21 O 0.889 0.192 0.845

The 8 most intense peaks (10 to 80 degrees two-theta), in order of rising 2θ:
| two_theta | I (rel.) |
| --- | --- |
| 10.73 | 100 |
| 18.63 | 63 |
| 22.88 | 98 |
| 24.51 | 64 |
| 25.64 | 59 |
| 26.83 | 55 |
| 28.91 | 93 |
| 29.91 | 64 |